[1]
Structure and theoretical X-ray diffraction stick pattern of Cd7AgAu4 (DFT lattice parameters and positions (PBE); copper Kα).
No peak broadening, texture or thermal motion is included.

Crystal structure
Lattice parameters (Å, degrees): 5.5055 6.1340 7.7766 108.07 94.07 94.77
Fractional coordinates of all 12 atoms:
Cd1 0.0000 0.0000 0.0000
Cd2 0.1726 0.7318 0.6258
Cd3 0.2496 0.5311 0.9379
Cd4 0.3579 0.2080 0.5788
Cd5 0.6421 0.7920 0.4212
Cd6 0.7504 0.4689 0.0621
Cd7 0.8274 0.2682 0.3742
Ag1 0.5000 0.0000 0.0000
Au1 0.1237 0.8267 0.2854
Au2 0.3194 0.3786 0.2647
Au3 0.6806 0.6214 0.7353
Au4 0.8763 0.1733 0.7146

Largest 12 diffraction maxima, by intensity, 2θ = 10–90°:
d [Å]  I_rel
2.444  100
2.370  88
2.402  85
2.476  70
2.157  65
2.379  51
2.738  30
2.327  29
1.836  28
2.451  27
2.420  26
1.497  18

=====

[2]
Structure and theoretical X-ray diffraction stick pattern of CdAgAu6 (DFT lattice parameters and positions (PBE); copper Kα).
No peak broadening, texture or thermal motion is included.

Crystal structure
Lattice parameters (Å, degrees): 4.8391 5.9075 5.9075 60.25 90.00 90.00
Fractional coordinates of all 8 atoms:
Cd1 0.0000 0.0000 0.0000
Ag1 0.5000 0.3323 0.3323
Au1 0.0000 0.0016 0.4991
Au2 0.0000 0.4991 0.0016
Au3 0.0000 0.4992 0.4992
Au4 0.5000 0.3336 0.8317
Au5 0.5000 0.8317 0.3336
Au6 0.5000 0.8319 0.8319

Largest 12 diffraction maxima, by intensity, 2θ = 10–90°:
d [Å]  I_rel
2.266  100
2.259  49
2.420  40
2.565  23
1.261  21
1.365  20
1.477  17
1.760  15
1.240  15
2.555  12
1.264  10
1.364  10

=====

[3]
Structure and theoretical X-ray diffraction stick pattern of CdAg2Au3 (DFT lattice parameters and positions (PBE); copper Kα).
No peak broadening, texture or thermal motion is included.

Crystal structure
Lattice parameters (Å, degrees): 6.6343 6.6343 8.2228 90.00 90.00 142.47
Fractional coordinates of all 12 atoms:
Cd1 0.1622 0.8378 0.0000
Cd2 0.8378 0.1622 0.0000
Ag1 0.1678 0.8322 0.5000
Ag2 0.5000 0.5000 0.0000
Ag3 0.5000 0.5000 0.5000
Ag4 0.8322 0.1678 0.5000
Au1 0.0000 0.0000 0.2551
Au2 0.0000 0.0000 0.7449
Au3 0.3333 0.6667 0.2505
Au4 0.3333 0.6667 0.7495
Au5 0.6667 0.3333 0.2505
Au6 0.6667 0.3333 0.7495

Largest 12 diffraction maxima, by intensity, 2θ = 10–90°:
d [Å]  I_rel
2.418  100
2.134  17
2.094  16
2.056  15
1.280  13
1.263  13
1.246  12
1.209  11
1.495  11
1.480  11
1.467  10
4.111  7

=====

[4]
Structure and theoretical X-ray diffraction stick pattern of Cd2Ag5Au5 (DFT lattice parameters and positions (PBE); copper Kα).
No peak broadening, texture or thermal motion is included.

Crystal structure
Lattice parameters (Å, degrees): 6.5833 6.5833 9.3112 114.06 114.06 37.17
Fractional coordinates of all 12 atoms:
Cd1 0.0842 0.0842 0.2513
Cd2 0.9158 0.9158 0.7487
Ag1 0.0000 0.0000 0.5000
Ag2 0.1687 0.1687 0.0010
Ag3 0.2493 0.2493 0.7505
Ag4 0.7507 0.7507 0.2495
Ag5 0.8313 0.8313 0.9990
Au1 0.3335 0.3335 0.4972
Au2 0.4162 0.4162 0.2483
Au3 0.5000 0.5000 0.0000
Au4 0.5838 0.5838 0.7517
Au5 0.6665 0.6665 0.5028

Largest 12 diffraction maxima, by intensity, 2θ = 10–90°:
d [Å]  I_rel
2.432  100
2.402  97
2.100  65
2.080  32
1.262  25
1.485  21
1.477  21
1.272  13
1.266  12
1.259  12
1.250  12
1.216  11

=====

[5]
Structure and theoretical X-ray diffraction stick pattern of CdAg5Au6 (DFT lattice parameters and positions (PBE); copper Kα).
No peak broadening, texture or thermal motion is included.

Crystal structure
Lattice parameters (Å, degrees): 5.0847 5.9835 7.1651 90.00 91.25 90.00
Fractional coordinates of all 12 atoms:
Cd1 0.0000 0.0000 0.0000
Ag1 0.0000 0.5000 0.0000
Ag2 0.3350 0.0000 0.3351
Ag3 0.3347 0.5000 0.3330
Ag4 0.6650 0.0000 0.6649
Ag5 0.6653 0.5000 0.6670
Au1 0.1656 0.2512 0.6659
Au2 0.1656 0.7488 0.6659
Au3 0.5000 0.2513 0.0000
Au4 0.5000 0.7487 0.0000
Au5 0.8344 0.2512 0.3341
Au6 0.8344 0.7488 0.3341

Largest 12 diffraction maxima, by intensity, 2θ = 10–90°:
d [Å]  I_rel
2.435  100
2.082  63
2.388  47
2.379  47
2.094  32
1.267  25
1.479  21
1.474  21
4.189  14
1.265  13
1.247  12
1.244  12

=====

[6]
Structure and theoretical X-ray diffraction stick pattern of La4CdAgAu2 (DFT lattice parameters and positions (PBE); copper Kα).
No peak broadening, texture or thermal motion is included.

Crystal structure
Lattice parameters (Å, degrees): 9.3728 9.3728 9.3728 33.55 33.55 33.55
Fractional coordinates of all 8 atoms:
La1 0.1216 0.1216 0.1216
La2 0.3720 0.3720 0.3720
La3 0.6280 0.6280 0.6280
La4 0.8784 0.8784 0.8784
Cd1 0.5000 0.5000 0.5000
Ag1 0.0000 0.0000 0.0000
Au1 0.2449 0.2449 0.2449
Au2 0.7551 0.7551 0.7551

Largest 12 diffraction maxima, by intensity, 2θ = 10–90°:
d [Å]  I_rel
2.705  100
1.562  36
1.913  18
1.210  15
1.353  11
4.418  4
1.104  4
2.307  3
1.480  2
2.945  1
1.992  1
1.170  1

=====

[7]
Structure and theoretical X-ray diffraction stick pattern of LiCd2Ag2Au (DFT lattice parameters and positions (PBE); copper Kα).
No peak broadening, texture or thermal motion is included.

Crystal structure
Lattice parameters (Å, degrees): 4.1524 8.9182 5.9562 90.00 90.00 90.00
Fractional coordinates of all 12 atoms:
Li1 0.0000 0.1589 0.0000
Li2 0.0000 0.8411 0.5000
Cd1 0.0000 0.1609 0.5133
Cd2 0.0000 0.8391 0.0133
Cd3 0.5000 0.3358 0.2421
Cd4 0.5000 0.6642 0.7421
Ag1 0.0000 0.4989 0.4977
Ag2 0.0000 0.5011 0.9977
Ag3 0.5000 0.3296 0.7574
Ag4 0.5000 0.6704 0.2574
Au1 0.5000 0.0049 0.2554
Au2 0.5000 0.9951 0.7554

Largest 12 diffraction maxima, by intensity, 2θ = 10–90°:
d [Å]  I_rel
2.419  100
2.104  33
1.267  24
1.478  20
2.076  16
1.255  12
4.152  9
2.975  8
3.764  6
1.209  6
4.459  5
3.182  5

=====

[8]
Structure and theoretical X-ray diffraction stick pattern of LiCd2AgAu (DFT lattice parameters and positions (PBE); copper Kα).
No peak broadening, texture or thermal motion is included.

Crystal structure
Lattice parameters (Å, degrees): 7.3190 7.3190 7.0089 114.92 114.92 36.21
Fractional coordinates of all 10 atoms:
Li1 0.0839 0.0839 0.4281
Li2 0.9161 0.9161 0.5719
Cd1 0.1673 0.1673 0.9095
Cd2 0.3705 0.3705 0.8310
Cd3 0.6295 0.6295 0.1690
Cd4 0.8327 0.8327 0.0905
Ag1 0.2772 0.2772 0.3780
Ag2 0.7228 0.7228 0.6220
Au1 0.4597 0.4597 0.2834
Au2 0.5403 0.5403 0.7166

Largest 12 diffraction maxima, by intensity, 2θ = 10–90°:
d [Å]  I_rel
2.368  100
4.274  41
2.275  23
2.264  22
3.472  16
1.331  15
1.605  15
1.389  12
2.075  11
1.755  9
1.325  8
1.328  7

=====

[9]
Structure and theoretical X-ray diffraction stick pattern of LiCdAgAu (DFT lattice parameters and positions (PBE); copper Kα).
No peak broadening, texture or thermal motion is included.

Crystal structure
Lattice parameters (Å, degrees): 4.8980 4.8980 4.8980 127.72 127.72 77.08
Fractional coordinates of all 4 atoms:
Li1 0.0000 0.0000 0.0000
Cd1 0.5000 0.5000 0.0000
Ag1 0.2500 0.7500 0.5000
Au1 0.7500 0.2500 0.5000

Largest 12 diffraction maxima, by intensity, 2θ = 10–90°:
d [Å]  I_rel
2.387  100
2.158  37
3.760  34
1.286  27
1.433  20
3.052  19
3.831  17
1.916  13
1.526  12
1.193  11
1.178  10
1.872  10

=====

[10]
Structure and theoretical X-ray diffraction stick pattern of MgCdAg2Au (DFT lattice parameters and positions (PBE); copper Kα).
No peak broadening, texture or thermal motion is included.

Crystal structure
Lattice parameters (Å, degrees): 6.9390 6.9390 9.6525 90.00 90.00 154.88
Fractional coordinates of all 10 atoms:
Mg1 0.1490 0.8510 0.7500
Mg2 0.8510 0.1490 0.2500
Cd1 0.0000 0.0000 0.0000
Cd2 0.0000 0.0000 0.5000
Ag1 0.1999 0.8001 0.1029
Ag2 0.1999 0.8001 0.3971
Ag3 0.8001 0.1999 0.6029
Ag4 0.8001 0.1999 0.8971
Au1 0.4682 0.5318 0.7500
Au2 0.5318 0.4682 0.2500

Largest 12 diffraction maxima, by intensity, 2θ = 10–90°:
d [Å]  I_rel
2.513  100
2.273  57
5.544  46
2.333  39
3.386  38
2.226  35
2.173  33
2.198  28
2.428  28
1.860  25
6.773  22
1.354  22

=====

[11]
Structure and theoretical X-ray diffraction stick pattern of MgCd2AgAu (DFT lattice parameters and positions (PBE); copper Kα).
No peak broadening, texture or thermal motion is included.

Crystal structure
Lattice parameters (Å, degrees): 7.5091 7.5091 5.6081 90.00 90.00 136.15
Fractional coordinates of all 10 atoms:
Mg1 0.2490 0.7510 0.7500
Mg2 0.7510 0.2490 0.2500
Cd1 0.2496 0.2496 0.0000
Cd2 0.2496 0.2496 0.5000
Cd3 0.7504 0.7504 0.0000
Cd4 0.7504 0.7504 0.5000
Ag1 0.3479 0.6521 0.2500
Ag2 0.6521 0.3479 0.7500
Au1 0.1560 0.8440 0.2500
Au2 0.8440 0.1560 0.7500

Largest 12 diffraction maxima, by intensity, 2θ = 10–90°:
d [Å]  I_rel
3.814  100
2.601  96
2.184  79
2.280  54
1.983  51
1.508  30
2.322  30
1.496  28
1.759  23
1.180  21
1.248  20
1.234  17

=====

[12]
Structure and theoretical X-ray diffraction stick pattern of Mg2CdAgAu5 (DFT lattice parameters and positions (PBE); copper Kα).
No peak broadening, texture or thermal motion is included.

Crystal structure
Lattice parameters (Å, degrees): 7.9651 7.9651 7.9651 118.20 118.20 93.15
Fractional coordinates of all 18 atoms:
Mg1 0.1154 0.6154 0.7308
Mg2 0.3846 0.1154 0.5000
Mg3 0.6154 0.8846 0.5000
Mg4 0.8846 0.3846 0.2692
Cd1 0.2500 0.2500 0.0000
Cd2 0.7500 0.7500 0.0000
Ag1 0.2500 0.7500 0.5000
Ag2 0.7500 0.2500 0.5000
Au1 0.0000 0.0000 0.0000
Au2 0.0692 0.1674 0.5000
Au3 0.1674 0.6674 0.0982
Au4 0.3326 0.4308 0.5000
Au5 0.4308 0.9308 0.0982
Au6 0.5000 0.5000 0.0000
Au7 0.5692 0.0692 0.9018
Au8 0.6674 0.5692 0.5000
Au9 0.8326 0.3326 0.9018
Au10 0.9308 0.8326 0.5000

Largest 12 diffraction maxima, by intensity, 2θ = 10–90°:
d [Å]  I_rel
2.275  100
2.892  77
2.585  58
3.470  36
1.952  27
1.743  25
1.521  19
1.576  14
2.045  13
1.403  13
3.977  11
1.237  11